1.
Simulated powder XRD pattern
Compound: Ba2SnO16
Radiation: copper Kα
Structure: DFT lattice parameters and positions (PBE)
Lines closer than 0.1° are merged.

Structure:
```
data_Ba2SnO16
_chemical_formula_sum 'Ba2 Sn1 O16'
_cell_length_a 6.5684
_cell_length_b 6.9748
_cell_length_c 7.8752
_cell_angle_alpha 101.69
_cell_angle_beta 105.16
_cell_angle_gamma 109.96
_space_group_name_H-M_alt 'P -1'
_space_group_IT_number 2
loop_
_space_group_symop_operation_xyz
'x,y,z'
'-x,-y,-z'
loop_
_atom_site_label
_atom_site_type_symbol
_atom_site_fract_x
_atom_site_fract_y
_atom_site_fract_z
_atom_site_occupancy
Ba1 Ba 0.2020 0.3334 0.2553 1
Sn1 Sn 0.5000 0.0000 0.5000 1
O1 O 0.0937 0.6920 0.1271 1
O2 O 0.1609 0.4859 0.6781 1
O3 O 0.1968 0.8949 0.2350 1
O4 O 0.2344 0.0552 0.9409 1
O5 O 0.2452 0.9300 0.6561 1
O6 O 0.3286 0.5261 0.8190 1
O7 O 0.3323 0.1079 0.8193 1
O8 O 0.4905 0.7146 0.4827 1
```

Most intense lines, 2θ = 5–70°, in order of rising 2θ:
2θ (°)	I (rel.)	h k l
15.88	100	1 0 -1
20.83	41	1 -1 1
21.71	30	0 1 1
25.10	40	1 1 0
26.33	35	1 -2 0
27.39	32	0 2 -1
27.51	23	1 -2 1
32.07	45	2 0 -2
34.07	25	-2 2 1
44.27	22	-1 3 1

2.
Simulated powder XRD pattern
Compound: TbSbIr
Radiation: copper Kα
Structure: DFT lattice parameters and positions (PBE)
Lines closer than 0.1° are merged.

Structure:
```
data_TbSbIr
_chemical_formula_sum 'Tb4 Sb4 Ir4'
_cell_length_a 7.2144
_cell_length_b 4.5318
_cell_length_c 7.9367
_cell_angle_alpha 90.00
_cell_angle_beta 90.00
_cell_angle_gamma 90.00
_space_group_name_H-M_alt 'P n m a'
_space_group_IT_number 62
loop_
_space_group_symop_operation_xyz
'x,y,z'
'-x,-y,-z'
'-x+1/2,-y,z+1/2'
'x+1/2,y,-z+1/2'
'x+1/2,-y+1/2,-z+1/2'
'-x+1/2,y+1/2,z+1/2'
'-x,y+1/2,-z'
'x,-y+1/2,z'
loop_
_atom_site_label
_atom_site_type_symbol
_atom_site_fract_x
_atom_site_fract_y
_atom_site_fract_z
_atom_site_occupancy
Tb1 Tb 0.0118 0.2500 0.1927 1
Sb1 Sb 0.1780 0.2500 0.5880 1
Ir1 Ir 0.2083 0.7500 0.4113 1
```

Most intense lines, 2θ = 5–70°, in order of rising 2θ:
2θ (°)	I (rel.)	h k l
32.46	57	1 1 2
33.57	34	2 0 2
33.71	100	2 1 1
39.14	33	3 0 1
39.44	65	0 1 3
39.78	47	0 2 0
47.08	14	2 1 3
53.01	19	2 2 2
57.04	22	3 2 1
64.24	26	3 1 4

3.
Simulated powder XRD pattern
Compound: Rb2ErOF3
Radiation: copper Kα
Structure: DFT lattice parameters and positions (PBE)
Lines closer than 0.1° are merged.

Structure:
```
data_Rb2ErOF3
_chemical_formula_sum 'Rb4 Er2 O2 F6'
_cell_length_a 4.3555
_cell_length_b 4.4725
_cell_length_c 14.3101
_cell_angle_alpha 90.00
_cell_angle_beta 90.00
_cell_angle_gamma 90.00
_space_group_name_H-M_alt 'I m m m'
_space_group_IT_number 71
_space_group_name_Hall '-I 2 2'
loop_
_atom_site_label
_atom_site_type_symbol
_atom_site_fract_x
_atom_site_fract_y
_atom_site_fract_z
_atom_site_occupancy
Rb1 Rb 0.0000 0.0000 0.1468 1
Er1 Er 0.0000 0.0000 0.5000 1
O1 O 0.0000 0.5000 0.0000 1
F1 F 0.0000 0.0000 0.3443 1
F2 F 0.0000 0.5000 0.5000 1
```

Most intense lines, 2θ = 5–70°, in order of rising 2θ:
2θ (°)	I (rel.)	h k l
12.37	60	0 0 2
27.33	77	0 1 3
27.74	78	1 0 3
28.61	100	1 1 0
37.72	27	0 0 6
40.33	29	0 2 0
41.46	26	2 0 0
48.01	35	1 1 6
49.65	32	1 2 3
50.38	29	2 1 3

4.
Simulated powder XRD pattern
Compound: Ni3As4
Radiation: copper Kα
Structure: DFT lattice parameters and positions (PBE)
Lines closer than 0.1° are merged.

Structure:
```
data_Ni3As4
_chemical_formula_sum 'Ni18 As24'
_cell_length_a 6.9677
_cell_length_b 6.9677
_cell_length_c 17.1461
_cell_angle_alpha 90.00
_cell_angle_beta 90.00
_cell_angle_gamma 120.00
_space_group_name_H-M_alt 'R -3 m'
_space_group_IT_number 166
_space_group_name_Hall '-R 3 2"'
loop_
_atom_site_label
_atom_site_type_symbol
_atom_site_fract_x
_atom_site_fract_y
_atom_site_fract_z
_atom_site_occupancy
Ni1 Ni 0.0000 0.0000 0.0000 1
Ni2 Ni 0.0000 0.0000 0.3747 1
Ni3 Ni 0.0000 0.5000 0.5000 1
As1 As 0.0000 0.0000 0.2417 1
As2 As 0.0225 0.5112 0.7527 1
```

Most intense lines, 2θ = 5–70°, in order of rising 2θ:
2θ (°)	I (rel.)	h k l
15.55	16	1 0 1
25.53	18	1 1 0
30.02	40	1 1 3
30.07	13	0 2 1
31.43	33	2 0 2
36.42	100	0 2 4
47.92	28	0 3 3
52.36	61	2 0 8
52.54	60	2 2 0
65.61	16	4 0 4

5.
Simulated powder XRD pattern
Compound: CeGeS2
Radiation: copper Kα
Structure: DFT lattice parameters and positions (PBE)
Lines closer than 0.1° are merged.

Structure:
```
data_CeGeS2
_chemical_formula_sum 'Ce4 Ge4 S8'
_cell_length_a 8.9377
_cell_length_b 6.4607
_cell_length_c 7.0700
_cell_angle_alpha 90.00
_cell_angle_beta 102.22
_cell_angle_gamma 90.00
_space_group_name_H-M_alt 'P 1 21/c 1'
_space_group_IT_number 14
loop_
_space_group_symop_operation_xyz
'x,y,z'
'-x,-y,-z'
'-x,y+1/2,-z+1/2'
'x,-y+1/2,z+1/2'
loop_
_atom_site_label
_atom_site_type_symbol
_atom_site_fract_x
_atom_site_fract_y
_atom_site_fract_z
_atom_site_occupancy
Ce1 Ce 0.1596 0.0365 0.2944 1
Ge1 Ge 0.4099 0.6193 0.3825 1
S1 S 0.0343 0.7486 0.5124 1
S2 S 0.3684 0.1721 0.6538 1
```

Most intense lines, 2θ = 5–70°, in order of rising 2θ:
2θ (°)	I (rel.)	h k l
22.67	49	1 1 1
25.70	100	2 1 -1
29.81	28	2 1 1
32.89	16	1 1 2
38.04	21	1 2 -2
38.14	13	0 2 2
41.76	16	3 2 0
44.12	14	4 0 -2
45.02	15	1 1 3
47.01	19	3 1 -3

6.
Simulated powder XRD pattern
Compound: Ac2Al3Ag6
Radiation: copper Kα
Structure: DFT lattice parameters and positions (PBE)
Lines closer than 0.1° are merged.

Structure:
```
data_Ac2Al3Ag6
_chemical_formula_sum 'Ac2 Al3 Ag6'
_cell_length_a 8.0204
_cell_length_b 8.0204
_cell_length_c 4.5821
_cell_angle_alpha 90.00
_cell_angle_beta 90.00
_cell_angle_gamma 120.00
_space_group_name_H-M_alt 'P -6 2 m'
_space_group_IT_number 189
_space_group_name_Hall 'P -6 -2'
loop_
_atom_site_label
_atom_site_type_symbol
_atom_site_fract_x
_atom_site_fract_y
_atom_site_fract_z
_atom_site_occupancy
Ac1 Ac 0.3333 0.6667 0.0000 1
Al1 Al 0.0000 0.6339 0.5000 1
Ag1 Ag 0.0000 0.3000 0.5000 1
Ag2 Ag 0.0000 0.7976 0.0000 1
```

Most intense lines, 2θ = 5–70°, in order of rising 2θ:
2θ (°)	I (rel.)	h k l
19.37	11	0 0 1
25.65	16	2 0 0
29.60	100	1 1 1
34.15	23	2 1 0
38.90	26	3 0 0
39.33	22	0 0 2
39.56	45	2 1 1
53.05	13	2 1 2
56.51	18	3 0 2
64.79	26	4 1 1

7.
Simulated powder XRD pattern
Compound: CaMg10Zn2
Radiation: copper Kα
Structure: DFT lattice parameters and positions (PBE)
Lines closer than 0.1° are merged.

Structure:
```
data_CaMg10Zn2
_chemical_formula_sum 'Ca4 Mg40 Zn8'
_cell_length_a 5.8175
_cell_length_b 14.2124
_cell_length_c 14.2683
_cell_angle_alpha 90.00
_cell_angle_beta 90.00
_cell_angle_gamma 90.00
_space_group_name_H-M_alt 'F m m m'
_space_group_IT_number 69
_space_group_name_Hall '-F 2 2'
loop_
_atom_site_label
_atom_site_type_symbol
_atom_site_fract_x
_atom_site_fract_y
_atom_site_fract_z
_atom_site_occupancy
Ca1 Ca 0.0000 0.0000 0.0000 1
Mg1 Mg 0.0000 0.1038 0.3872 1
Mg2 Mg 0.0000 0.1680 0.1807 1
Mg3 Mg 0.2500 0.2500 0.0000 1
Zn1 Zn 0.2500 0.0000 0.2500 1
```

Most intense lines, 2θ = 5–70°, in order of rising 2θ:
2θ (°)	I (rel.)	h k l
12.43	42	0 2 0
17.62	24	0 2 2
25.00	14	0 0 4
30.75	15	1 3 3
35.65	100	0 4 4
35.72	13	1 5 1
40.02	51	2 4 0
40.11	12	0 6 2
42.09	11	2 4 2
64.04	21	4 0 0

8.
Simulated powder XRD pattern
Compound: K2Ge2Au5
Radiation: copper Kα
Structure: DFT lattice parameters and positions (PBE)
Lines closer than 0.1° are merged.

Structure:
```
data_K2Ge2Au5
_chemical_formula_sum 'K4 Ge4 Au10'
_cell_length_a 13.2595
_cell_length_b 4.7071
_cell_length_c 8.0363
_cell_angle_alpha 90.00
_cell_angle_beta 100.12
_cell_angle_gamma 90.00
_space_group_name_H-M_alt 'C 1 2/m 1'
_space_group_IT_number 12
loop_
_space_group_symop_operation_xyz
'x,y,z'
'-x,-y,-z'
'-x,y,-z'
'x,-y,z'
'x+1/2,y+1/2,z'
'-x+1/2,-y+1/2,-z'
'-x+1/2,y+1/2,-z'
'x+1/2,-y+1/2,z'
loop_
_atom_site_label
_atom_site_type_symbol
_atom_site_fract_x
_atom_site_fract_y
_atom_site_fract_z
_atom_site_occupancy
K1 K 0.1144 0.0000 0.3127 1
Ge1 Ge 0.1786 0.5000 0.9386 1
Au1 Au 0.0000 0.5000 0.0000 1
Au2 Au 0.0797 0.5000 0.6263 1
Au3 Au 0.1741 0.0000 0.7916 1
```

Most intense lines, 2θ = 5–70°, in order of rising 2θ:
2θ (°)	I (rel.)	h k l
16.01	100	2 0 -1
19.09	30	2 0 1
20.05	42	1 1 0
27.92	38	3 1 0
29.37	71	1 1 -2
32.35	47	4 0 -2
38.24	47	0 2 0
38.43	32	3 1 2
40.86	56	1 1 3
42.88	30	5 1 1

9.
Simulated powder XRD pattern
Compound: ScCd5Ag8
Radiation: copper Kα
Structure: DFT lattice parameters and positions (PBE)
Lines closer than 0.1° are merged.

Structure:
```
data_ScCd5Ag8
_chemical_formula_sum 'Sc2 Cd10 Ag16'
_cell_length_a 8.1630
_cell_length_b 8.1630
_cell_length_c 8.6152
_cell_angle_alpha 90.00
_cell_angle_beta 90.00
_cell_angle_gamma 90.00
_space_group_name_H-M_alt 'I -4'
_space_group_IT_number 82
loop_
_space_group_symop_operation_xyz
'x,y,z'
'y,-x,-z'
'-x,-y,z'
'-y,x,-z'
'x+1/2,y+1/2,z+1/2'
'y+1/2,-x+1/2,-z+1/2'
'-x+1/2,-y+1/2,z+1/2'
'-y+1/2,x+1/2,-z+1/2'
loop_
_atom_site_label
_atom_site_type_symbol
_atom_site_fract_x
_atom_site_fract_y
_atom_site_fract_z
_atom_site_occupancy
Sc1 Sc 0.0000 0.0000 0.0000 1
Cd1 Cd 0.0000 0.5000 0.7500 1
Cd2 Cd 0.1340 0.7159 0.3342 1
Ag1 Ag 0.0705 0.8385 0.6589 1
Ag2 Ag 0.0992 0.6630 0.0110 1
```

Most intense lines, 2θ = 5–70°, in order of rising 2θ:
2θ (°)	I (rel.)	h k l
14.95	16	1 0 1
26.52	18	1 2 1
33.07	54	1 0 3
34.57	81	3 0 1
34.75	60	3 1 0
37.51	21	2 2 2
39.94	100	1 2 3
40.75	48	3 1 2
41.23	60	2 3 1
65.80	16	5 0 3

10.
Simulated powder XRD pattern
Compound: BaCd8HgAu2
Radiation: copper Kα
Structure: DFT lattice parameters and positions (PBE)
Lines closer than 0.1° are merged.

Structure:
```
data_BaCd8HgAu2
_chemical_formula_sum 'Ba2 Cd16 Hg2 Au4'
_cell_length_a 10.5413
_cell_length_b 5.9737
_cell_length_c 10.1620
_cell_angle_alpha 90.00
_cell_angle_beta 105.75
_cell_angle_gamma 90.00
_space_group_name_H-M_alt 'C 1 2/m 1'
_space_group_IT_number 12
loop_
_space_group_symop_operation_xyz
'x,y,z'
'-x,-y,-z'
'-x,y,-z'
'x,-y,z'
'x+1/2,y+1/2,z'
'-x+1/2,-y+1/2,-z'
'-x+1/2,y+1/2,-z'
'x+1/2,-y+1/2,z'
loop_
_atom_site_label
_atom_site_type_symbol
_atom_site_fract_x
_atom_site_fract_y
_atom_site_fract_z
_atom_site_occupancy
Ba1 Ba 0.0000 0.0000 0.0000 1
Cd1 Cd 0.1777 0.5000 0.0023 1
Cd2 Cd 0.1813 0.2513 0.7373 1
Cd3 Cd 0.1914 0.5000 0.4895 1
Hg1 Hg 0.0000 0.0000 0.5000 1
Au1 Au 0.0530 0.5000 0.2173 1
```

Most intense lines, 2θ = 5–70°, in order of rising 2θ:
2θ (°)	I (rel.)	h k l
18.34	45	1 1 -1
23.30	61	1 1 -2
26.82	56	1 1 2
30.37	51	3 1 0
31.56	89	3 1 -2
34.83	79	2 2 0
35.20	86	0 2 2
36.76	100	0 0 4
39.28	91	3 1 2
42.10	43	3 1 -4

11.
Simulated powder XRD pattern
Compound: Er2Te4Pb
Radiation: copper Kα
Structure: DFT lattice parameters and positions (PBE)
Lines closer than 0.1° are merged.

Structure:
```
data_Er2Te4Pb
_chemical_formula_sum 'Er4 Te8 Pb2'
_cell_length_a 16.8342
_cell_length_b 4.4021
_cell_length_c 7.5998
_cell_angle_alpha 90.00
_cell_angle_beta 114.90
_cell_angle_gamma 90.00
_space_group_name_H-M_alt 'C 1 2/m 1'
_space_group_IT_number 12
loop_
_space_group_symop_operation_xyz
'x,y,z'
'-x,-y,-z'
'-x,y,-z'
'x,-y,z'
'x+1/2,y+1/2,z'
'-x+1/2,-y+1/2,-z'
'-x+1/2,y+1/2,-z'
'x+1/2,-y+1/2,z'
loop_
_atom_site_label
_atom_site_type_symbol
_atom_site_fract_x
_atom_site_fract_y
_atom_site_fract_z
_atom_site_occupancy
Er1 Er 0.2401 0.0000 0.2233 1
Te1 Te 0.1291 0.5000 0.9635 1
Te2 Te 0.1430 0.0000 0.4880 1
Pb1 Pb 0.0000 0.5000 0.5000 1
```

Most intense lines, 2θ = 5–70°, in order of rising 2θ:
2θ (°)	I (rel.)	h k l
11.59	30	2 0 0
13.19	25	2 0 -1
25.97	59	1 1 1
26.56	33	4 0 -2
32.94	100	3 1 1
33.51	56	5 1 -1
33.85	45	6 0 -2
41.01	38	0 2 0
41.13	72	3 1 -3
54.16	32	6 2 -2

12.
Simulated powder XRD pattern
Compound: Tb6PrS8
Radiation: copper Kα
Structure: DFT lattice parameters and positions (PBE)
Lines closer than 0.1° are merged.

Structure:
```
data_Tb6PrS8
_chemical_formula_sum 'Tb24 Pr4 S32'
_cell_length_a 11.1209
_cell_length_b 11.1209
_cell_length_c 11.1209
_cell_angle_alpha 90.00
_cell_angle_beta 90.00
_cell_angle_gamma 90.00
_space_group_name_H-M_alt 'F m -3 m'
_space_group_IT_number 225
_space_group_name_Hall '-F 4 2 3'
loop_
_atom_site_label
_atom_site_type_symbol
_atom_site_fract_x
_atom_site_fract_y
_atom_site_fract_z
_atom_site_occupancy
Tb1 Tb 0.0000 0.2500 0.2500 1
Pr1 Pr 0.0000 0.0000 0.0000 1
S1 S 0.0000 0.0000 0.2580 1
S2 S 0.2500 0.2500 0.2500 1
```

Most intense lines, 2θ = 5–70°, in order of rising 2θ:
2θ (°)	I (rel.)	h k l
13.79	10	1 1 1
15.94	9	2 0 0
22.61	8	2 2 0
26.58	8	3 1 1
27.79	70	2 2 2
32.20	100	4 0 0
46.18	72	4 4 0
54.75	35	6 2 2
57.41	25	4 4 4
67.36	11	8 0 0